Computed X-ray powder pattern
Compound: Nd3DyAg
Radiation: Cu Kα
Structure: a crystal structure in Alexandria, relaxed with GGA-PBE
No peak broadening, texture or thermal motion is included.

Atomic structure:
```
data_Nd3DyAg
_chemical_formula_sum 'Nd6 Dy2 Ag2'
_cell_length_a 7.241
_cell_length_b 7.241
_cell_length_c 7.997
_cell_angle_alpha 115.58
_cell_angle_beta 115.58
_cell_angle_gamma 72.95
_space_group_name_H-M_alt 'P 1'
_space_group_IT_number 1
loop_
_space_group_symop_operation_xyz
'x,y,z'
loop_
_atom_site_label
_atom_site_fract_x
_atom_site_fract_y
_atom_site_fract_z
Nd1 0.048 0.048 0.306
Nd2 0.113 0.525 0.305
Nd3 0.475 0.887 0.695
Nd4 0.525 0.113 0.305
Nd5 0.887 0.475 0.695
Nd6 0.952 0.952 0.694
Dy1 0.423 0.423 0.738
Dy2 0.577 0.577 0.262
Ag1 0.272 0.272 0.947
Ag2 0.728 0.728 0.053
```

Peak list (10 most intense, 2θ = 10–90°, low angle first)
- 26.42 deg, 3.373 Å, rel. 38
- 27.55 deg, 3.237 Å, rel. 31
- 30.78 deg, 2.905 Å, rel. 100
- 31.36 deg, 2.852 Å, rel. 57
- 33.23 deg, 2.696 Å, rel. 29
- 34.72 deg, 2.584 Å, rel. 82
- 35.77 deg, 2.510 Å, rel. 27
- 40.12 deg, 2.248 Å, rel. 26
- 41.97 deg, 2.152 Å, rel. 20
- 50.51 deg, 1.807 Å, rel. 22

=====

Computed X-ray powder pattern
Compound: Dy3Ni8Ag
Radiation: Cu Kα
Structure: a crystal structure in Alexandria, relaxed with GGA-PBE
No peak broadening, texture or thermal motion is included.

Atomic structure:
```
data_Dy3Ni8Ag
_chemical_formula_sum 'Dy3 Ni8 Ag1'
_cell_length_a 8.689
_cell_length_b 8.689
_cell_length_c 8.689
_cell_angle_alpha 33.47
_cell_angle_beta 33.47
_cell_angle_gamma 33.47
_space_group_name_H-M_alt 'P 1'
_space_group_IT_number 1
loop_
_space_group_symop_operation_xyz
'x,y,z'
loop_
_atom_site_label
_atom_site_fract_x
_atom_site_fract_y
_atom_site_fract_z
Dy1 0.000 0.000 0.000
Dy2 0.130 0.130 0.130
Dy3 0.615 0.615 0.615
Ni1 0.059 0.059 0.565
Ni2 0.059 0.565 0.059
Ni3 0.061 0.560 0.560
Ni4 0.311 0.311 0.311
Ni5 0.560 0.061 0.560
Ni6 0.560 0.560 0.061
Ni7 0.565 0.059 0.059
Ni8 0.811 0.811 0.811
Ag1 0.495 0.495 0.495
```

Peak list (10 most intense, 2θ = 10–90°, low angle first)
- 21.74 deg, 4.089 Å, rel. 10
- 35.86 deg, 2.504 Å, rel. 60
- 42.32 deg, 2.135 Å, rel. 100
- 44.33 deg, 2.043 Å, rel. 13
- 64.49 deg, 1.445 Å, rel. 16
- 68.80 deg, 1.365 Å, rel. 6
- 68.91 deg, 1.363 Å, rel. 22
- 75.92 deg, 1.253 Å, rel. 10
- 76.10 deg, 1.251 Å, rel. 12
- 87.07 deg, 1.119 Å, rel. 5